# 1
Structure and simulated powder diffraction line list of Li7PSe6 (a crystal structure in the Materials Project, relaxed with GGA-PBE; λ = 1.5418 Å (Cu Kα)).
Kinematic intensities with the Lorentz-polarization factor, no thermal factor.

Structure:
Lattice parameters (Å, degrees): 15.0240 7.5226 10.3770 90.00 90.00 90.00
Fractional coordinates of all 56 atoms:
1 Li 0.0270 0.1699 0.0000
2 Li 0.0448 0.4484 0.6555
3 Li 0.1088 0.0589 0.6759
4 Li 0.1285 0.6516 0.8417
5 Li 0.1824 0.7385 0.3631
6 Li 0.2183 0.3858 0.0542
7 Li 0.2307 0.4742 0.6478
8 Li 0.2693 0.9742 0.1478
9 Li 0.2817 0.8858 0.5542
10 Li 0.3176 0.2385 0.8631
11 Li 0.3715 0.1516 0.3417
12 Li 0.3912 0.5589 0.1759
13 Li 0.4552 0.9484 0.1555
14 Li 0.4730 0.6699 0.5000
15 Li 0.5270 0.3301 0.0000
16 Li 0.5448 0.0516 0.6555
17 Li 0.6088 0.4411 0.6759
18 Li 0.6285 0.8484 0.8417
19 Li 0.6824 0.7615 0.3631
20 Li 0.7183 0.1142 0.0542
21 Li 0.7307 0.0258 0.6478
22 Li 0.7693 0.5258 0.1478
23 Li 0.7817 0.6142 0.5542
24 Li 0.8176 0.2615 0.8631
25 Li 0.8715 0.3484 0.3417
26 Li 0.8912 0.9411 0.1759
27 Li 0.9552 0.5516 0.1555
28 Li 0.9730 0.8301 0.5000
29 P 0.1156 0.2322 0.3552
30 P 0.3844 0.7322 0.8552
31 P 0.6156 0.2678 0.3552
32 P 0.8844 0.7678 0.8552
33 Se 0.0020 0.7892 0.9854
34 Se 0.1058 0.0038 0.2198
35 Se 0.1136 0.4798 0.2368
36 Se 0.1297 0.7378 0.5998
37 Se 0.1436 0.3026 0.8392
38 Se 0.2349 0.2220 0.4816
39 Se 0.2651 0.7220 0.9816
40 Se 0.3564 0.8026 0.3392
41 Se 0.3703 0.2378 0.0998
42 Se 0.3864 0.9798 0.7368
43 Se 0.3942 0.5038 0.7198
44 Se 0.4980 0.2892 0.4854
45 Se 0.5020 0.7108 0.9854
46 Se 0.6058 0.4962 0.2198
47 Se 0.6136 0.0202 0.2368
48 Se 0.6297 0.7622 0.5998
49 Se 0.6436 0.1974 0.8392
50 Se 0.7349 0.2780 0.4816
51 Se 0.7651 0.7780 0.9816
52 Se 0.8564 0.6974 0.3392
53 Se 0.8703 0.2622 0.0998
54 Se 0.8864 0.5202 0.7368
55 Se 0.8942 0.9962 0.7198
56 Se 0.9980 0.2108 0.4854

Principal peaks in the range 10° ≤ 2θ ≤ 90°, in order of rising 2θ:
2θ 14.6, I 23
2θ 23.7, I 20
2θ 24.0, I 42
2θ 27.9, I 100
2θ 28.4, I 50
2θ 29.3, I 82
2θ 41.8, I 18
2θ 44.3, I 21
2θ 49.1, I 40
2θ 57.7, I 18

# 2
Structure and simulated powder diffraction line list of MgSi (a crystal structure in the Materials Project, relaxed with GGA-PBE; λ = 1.5418 Å (Cu Kα)).
Kinematic intensities with the Lorentz-polarization factor, no thermal factor.

Structure:
Lattice parameters (Å, degrees): 4.3904 5.4018 10.2153 92.37 91.03 111.83
Fractional coordinates of all 12 atoms:
1 Mg 0.0000 0.0000 0.0000
2 Mg 0.0573 0.0862 0.6999
3 Mg 0.2686 0.6527 0.5616
4 Mg 0.3459 0.8188 0.2491
5 Mg 0.6793 0.3907 0.1116
6 Mg 0.7388 0.4771 0.8111
7 Si 0.0950 0.2253 0.2613
8 Si 0.2662 0.5833 0.9928
9 Si 0.4647 0.8869 0.8186
10 Si 0.6245 0.2478 0.5539
11 Si 0.6485 0.4995 0.3683
12 Si 0.8883 0.9592 0.4427

Principal peaks in the range 10° ≤ 2θ ≤ 90°, in order of rising 2θ:
2θ 33.1, I 40
2θ 34.3, I 40
2θ 34.9, I 44
2θ 35.0, I 45
2θ 36.8, I 48
2θ 38.2, I 39
2θ 39.2, I 48
2θ 41.1, I 100
2θ 42.0, I 35
2θ 46.1, I 33

# 3
Structure and simulated powder diffraction line list of Sr3Re2N4 (a crystal structure in the Materials Project, relaxed with GGA-PBE; λ = 1.5418 Å (Cu Kα)).
Kinematic intensities with the Lorentz-polarization factor, no thermal factor.

Structure:
Lattice parameters (Å, degrees): 6.0735 10.1759 9.8588 90.00 90.00 90.00
Fractional coordinates of all 36 atoms:
1 Sr 0.1232 0.1606 0.0829
2 Sr 0.1232 0.3394 0.4171
3 Sr 0.2500 0.0000 0.4038
4 Sr 0.2500 0.5000 0.0962
5 Sr 0.3768 0.6606 0.4171
6 Sr 0.3768 0.8394 0.0829
7 Sr 0.6232 0.1606 0.9171
8 Sr 0.6232 0.3394 0.5829
9 Sr 0.7500 0.0000 0.5962
10 Sr 0.7500 0.5000 0.9038
11 Sr 0.8768 0.6606 0.5829
12 Sr 0.8768 0.8394 0.9171
13 Re 0.1240 0.2500 0.7500
14 Re 0.2500 0.0000 0.7378
15 Re 0.2500 0.5000 0.7622
16 Re 0.3760 0.7500 0.7500
17 Re 0.6240 0.2500 0.2500
18 Re 0.7500 0.0000 0.2622
19 Re 0.7500 0.5000 0.2378
20 Re 0.8760 0.7500 0.2500
21 N 0.0096 0.0828 0.8416
22 N 0.0096 0.4172 0.6584
23 N 0.1204 0.6469 0.8613
24 N 0.1204 0.8531 0.6387
25 N 0.3796 0.1469 0.6387
26 N 0.3796 0.3531 0.8613
27 N 0.4904 0.5828 0.6584
28 N 0.4904 0.9172 0.8416
29 N 0.5096 0.0828 0.1584
30 N 0.5096 0.4172 0.3416
31 N 0.6204 0.6469 0.1387
32 N 0.6204 0.8531 0.3613
33 N 0.8796 0.1469 0.3613
34 N 0.8796 0.3531 0.1387
35 N 0.9904 0.5828 0.3416
36 N 0.9904 0.9172 0.1584

Principal peaks in the range 10° ≤ 2θ ≤ 90°, in order of rising 2θ:
2θ 17.1, I 76
2θ 18.0, I 49
2θ 27.8, I 25
2θ 30.7, I 39
2θ 30.9, I 100
2θ 32.2, I 42
2θ 35.3, I 30
2θ 39.5, I 34
2θ 39.9, I 34
2θ 56.4, I 29

# 4
Structure and simulated powder diffraction line list of Li3Cu4TeO8 (a crystal structure in the Materials Project, relaxed with GGA-PBE; λ = 1.5418 Å (Cu Kα)).
Kinematic intensities with the Lorentz-polarization factor, no thermal factor.

Structure:
Lattice parameters (Å, degrees): 5.9311 5.9311 6.5790 121.05 121.05 66.21
Fractional coordinates of all 16 atoms:
1 Li 0.0000 0.0000 0.0000
2 Li 0.0000 0.5000 0.5000
3 Li 0.5000 0.0000 0.5000
4 Cu 0.0000 0.0000 0.5000
5 Cu 0.0000 0.5000 0.0000
6 Cu 0.5000 0.0000 0.0000
7 Cu 0.5000 0.5000 0.0000
8 Te 0.5000 0.5000 0.5000
9 O 0.2511 0.2511 0.8084
10 O 0.2525 0.2525 0.2983
11 O 0.2789 0.7141 0.2837
12 O 0.2859 0.7211 0.7163
13 O 0.7141 0.2789 0.2837
14 O 0.7211 0.2859 0.7163
15 O 0.7475 0.7475 0.7017
16 O 0.7489 0.7489 0.1916

Principal peaks in the range 10° ≤ 2θ ≤ 90°, in order of rising 2θ:
2θ 17.8, I 49
2θ 18.1, I 93
2θ 32.6, I 33
2θ 34.6, I 24
2θ 36.0, I 39
2θ 36.7, I 20
2θ 39.1, I 100
2θ 46.4, I 32
2θ 60.8, I 31
2θ 63.6, I 21

# 5
Structure and simulated powder diffraction line list of LiAgF2 (a crystal structure in the Materials Project, relaxed with GGA-PBE; λ = 1.5418 Å (Cu Kα)).
Kinematic intensities with the Lorentz-polarization factor, no thermal factor.

Structure:
Lattice parameters (Å, degrees): 3.0445 3.0445 11.6023 90.00 90.00 120.00
Fractional coordinates of all 8 atoms:
1 Li 0.0000 0.0000 0.0000
2 Li 0.0000 0.0000 0.5000
3 Ag 0.3333 0.6667 0.2500
4 Ag 0.6667 0.3333 0.7500
5 F 0.3333 0.6667 0.5956
6 F 0.3333 0.6667 0.9044
7 F 0.6667 0.3333 0.0956
8 F 0.6667 0.3333 0.4044

Principal peaks in the range 10° ≤ 2θ ≤ 90°, in order of rising 2θ:
2θ 15.3, I 100
2θ 30.8, I 17
2θ 34.0, I 26
2θ 34.9, I 58
2θ 37.5, I 23
2θ 41.4, I 97
2θ 52.5, I 24
2θ 60.9, I 20
2θ 63.1, I 14
2θ 80.3, I 14

# 6
Structure and simulated powder diffraction line list of Mg3ZnO4 (a crystal structure in the Materials Project, relaxed with GGA-PBE; λ = 1.5418 Å (Cu Kα)).
Kinematic intensities with the Lorentz-polarization factor, no thermal factor.

Structure:
Lattice parameters (Å, degrees): 4.2801 4.2801 4.2801 90.00 90.00 90.00
Fractional coordinates of all 8 atoms:
1 Mg 0.0000 0.0000 0.5000
2 Mg 0.0000 0.5000 0.0000
3 Mg 0.5000 0.0000 0.0000
4 Zn 0.5000 0.5000 0.5000
5 O 0.0000 0.0000 0.0000
6 O 0.0000 0.5000 0.5000
7 O 0.5000 0.0000 0.5000
8 O 0.5000 0.5000 0.0000

Principal peaks in the range 10° ≤ 2θ ≤ 90°, in order of rising 2θ:
2θ 20.8, I 29
2θ 29.5, I 25
2θ 36.4, I 31
2θ 42.2, I 100
2θ 47.5, I 13
2θ 52.4, I 10
2θ 61.3, I 58
2θ 65.4, I 6
2θ 73.4, I 15
2θ 77.2, I 18

# 7
Structure and simulated powder diffraction line list of Na3Sm2Si2Se6 (a crystal structure in the Materials Project, relaxed with GGA-PBE; λ = 1.5418 Å (Cu Kα)).
Kinematic intensities with the Lorentz-polarization factor, no thermal factor.

Structure:
Lattice parameters (Å, degrees): 7.3395 7.3395 7.6763 99.19 99.19 119.92
Fractional coordinates of all 13 atoms:
1 Na 0.0000 0.0000 0.0000
2 Na 0.3290 0.6710 0.0000
3 Na 0.6710 0.3290 0.0000
4 Sm 0.1659 0.8341 0.5000
5 Sm 0.8341 0.1659 0.5000
6 Si 0.4438 0.4438 0.3303
7 Si 0.5562 0.5562 0.6697
8 Se 0.0781 0.4224 0.2653
9 Se 0.2343 0.2343 0.7377
10 Se 0.4224 0.0781 0.2653
11 Se 0.5776 0.9219 0.7347
12 Se 0.7657 0.7657 0.2623
13 Se 0.9219 0.5776 0.7347

Principal peaks in the range 10° ≤ 2θ ≤ 90°, in order of rising 2θ:
2θ 12.2, I 31
2θ 24.6, I 15
2θ 29.3, I 100
2θ 41.2, I 33
2θ 42.7, I 39
2θ 44.5, I 8
2θ 52.6, I 19
2θ 60.8, I 10
2θ 67.9, I 15
2θ 70.0, I 15

# 8
Structure and simulated powder diffraction line list of TlNi2S2 (a crystal structure in the Materials Project, relaxed with GGA-PBE; λ = 1.5418 Å (Cu Kα)).
Kinematic intensities with the Lorentz-polarization factor, no thermal factor.

Structure:
Lattice parameters (Å, degrees): 6.8922 6.8922 6.8922 148.03 148.03 45.85
Fractional coordinates of all 5 atoms:
1 Tl 0.0000 0.0000 0.0000
2 Ni 0.2500 0.7500 0.5000
3 Ni 0.7500 0.2500 0.5000
4 S 0.3447 0.3447 0.0000
5 S 0.6553 0.6553 0.0000

Principal peaks in the range 10° ≤ 2θ ≤ 90°, in order of rising 2θ:
2θ 24.5, I 69
2θ 28.1, I 38
2θ 31.7, I 100
2θ 36.3, I 92
2θ 42.8, I 22
2θ 47.9, I 35
2θ 55.3, I 43
2θ 56.5, I 22
2θ 58.6, I 34
2θ 81.6, I 17

# 9
Structure and simulated powder diffraction line list of ZnH6 (a crystal structure in the Materials Project, relaxed with GGA-PBE; λ = 1.5418 Å (Cu Kα)).
Kinematic intensities with the Lorentz-polarization factor, no thermal factor.

Structure:
Lattice parameters (Å, degrees): 11.8531 5.7590 8.1970 90.00 90.00 90.00
Fractional coordinates of all 28 atoms:
1 Zn 0.1499 0.1380 0.0000
2 Zn 0.3501 0.1380 0.5000
3 Zn 0.6499 0.8620 0.0000
4 Zn 0.8501 0.8620 0.5000
5 H 0.0141 0.8296 0.3020
6 H 0.0485 0.7439 0.3516
7 H 0.0853 0.1736 0.1604
8 H 0.1253 0.5635 0.0042
9 H 0.1620 0.5940 0.9317
10 H 0.2151 0.0976 0.8402
11 H 0.2849 0.0976 0.3402
12 H 0.3380 0.5940 0.4317
13 H 0.3747 0.5635 0.5042
14 H 0.4147 0.1736 0.6604
15 H 0.4515 0.7439 0.8516
16 H 0.4859 0.8296 0.8020
17 H 0.5141 0.1704 0.3020
18 H 0.5485 0.2561 0.3516
19 H 0.5853 0.8264 0.1604
20 H 0.6253 0.4365 0.0042
21 H 0.6620 0.4060 0.9317
22 H 0.7151 0.9024 0.8402
23 H 0.7849 0.9024 0.3402
24 H 0.8380 0.4060 0.4317
25 H 0.8747 0.4365 0.5042
26 H 0.9147 0.8264 0.6604
27 H 0.9515 0.2561 0.8516
28 H 0.9859 0.1704 0.8020

Principal peaks in the range 10° ≤ 2θ ≤ 90°, in order of rising 2θ:
2θ 15.4, I 31
2θ 17.1, I 44
2θ 18.5, I 100
2θ 20.3, I 35
2θ 21.7, I 33
2θ 24.1, I 35
2θ 27.8, I 26
2θ 29.5, I 30
2θ 39.0, I 19
2θ 40.3, I 25

# 10
Structure and simulated powder diffraction line list of Rb4Cu8Ge3S12 (a crystal structure in the Materials Project, relaxed with GGA-PBE; λ = 1.5418 Å (Cu Kα)).
Kinematic intensities with the Lorentz-polarization factor, no thermal factor.

Structure:
Lattice parameters (Å, degrees): 12.6943 12.6943 12.6943 121.85 121.85 86.82
Fractional coordinates of all 54 atoms:
1 Rb 0.0740 0.0740 0.6481
2 Rb 0.0986 0.0986 0.0000
3 Rb 0.4014 0.4014 0.0000
4 Rb 0.4260 0.4260 0.3519
5 Rb 0.5740 0.9260 0.0000
6 Rb 0.5986 0.5986 0.0000
7 Rb 0.9014 0.9014 0.0000
8 Rb 0.9260 0.5740 0.0000
9 Cu 0.0867 0.4041 0.6761
10 Cu 0.0894 0.7720 0.6761
11 Cu 0.0959 0.4133 0.3239
12 Cu 0.2280 0.9041 0.3174
13 Cu 0.2719 0.5905 0.6810
14 Cu 0.4095 0.0905 0.3186
15 Cu 0.4095 0.0905 0.6814
16 Cu 0.4091 0.7281 0.3186
17 Cu 0.5867 0.9106 0.6826
18 Cu 0.5894 0.9133 0.3174
19 Cu 0.5959 0.2720 0.6826
20 Cu 0.7280 0.4106 0.3239
21 Cu 0.7719 0.0909 0.6814
22 Cu 0.9095 0.2281 0.3190
23 Cu 0.9095 0.5909 0.3190
24 Cu 0.9091 0.5905 0.6810
25 Ge 0.2494 0.7494 0.9987
26 Ge 0.2500 0.7500 0.5000
27 Ge 0.2506 0.2494 0.5000
28 Ge 0.7494 0.7506 0.5000
29 Ge 0.7500 0.2500 0.5000
30 Ge 0.7506 0.2506 0.0013
31 S 0.0684 0.7800 0.4941
32 S 0.0698 0.2207 0.2888
33 S 0.0776 0.5748 0.8580
34 S 0.2168 0.0748 0.4972
35 S 0.2189 0.9302 0.1509
36 S 0.2200 0.7141 0.2884
37 S 0.2793 0.4302 0.7112
38 S 0.2805 0.7832 0.8580
39 S 0.2859 0.5743 0.5059
40 S 0.4252 0.2832 0.5028
41 S 0.4257 0.9316 0.7116
42 S 0.4320 0.7207 0.1509
43 S 0.5684 0.0743 0.2884
44 S 0.5698 0.2811 0.8491
45 S 0.5776 0.7195 0.5028
46 S 0.7168 0.2195 0.1420
47 S 0.7189 0.5680 0.2888
48 S 0.7200 0.4316 0.5059
49 S 0.7793 0.0680 0.8491
50 S 0.7805 0.9224 0.4972
51 S 0.7859 0.2800 0.7116
52 S 0.9252 0.4224 0.1420
53 S 0.9257 0.2141 0.4941
54 S 0.9320 0.7811 0.7112

Principal peaks in the range 10° ≤ 2θ ≤ 90°, in order of rising 2θ:
2θ 10.1, I 52
2θ 16.8, I 28
2θ 24.1, I 43
2θ 24.8, I 37
2θ 29.1, I 47
2θ 30.0, I 100
2θ 30.6, I 30
2θ 30.7, I 43
2θ 42.8, I 40
2θ 53.6, I 68